This entry pairs a crystal structure of Y7Zn with its theoretical X-ray diffraction stick pattern. Radiation: copper Kα. Structure: a structure optimized by DFT (GGA-PBE).
Intensities are scaled so that the largest is 1000.

Structural model:
```
8
Lattice="3.5768 0.0000 0.0000 0.0000 3.5768 0.0000 0.0000 0.0000 18.8569" Properties=species:S:1:pos:R:3 pbc="T T T"
Y 0.0000 0.0000 0.0000
Y 0.0000 0.0000 5.0554
Y 0.0000 0.0000 13.8015
Y 1.7884 1.7884 2.5425
Y 1.7884 1.7884 7.6595
Y 1.7884 1.7884 11.1975
Y 1.7884 1.7884 16.3144
Zn 0.0000 0.0000 9.4285
```

Most intense lines, 5° ≤ 2θ ≤ 70°, in order of falling intensity:
2θ 31.4, intensity 1000, (1 0 4); 2θ 35.5, intensity 449, (1 1 0); 2θ 61.2, intensity 279, (2 1 4); 2θ 51.1, intensity 154, (2 0 0); 2θ 28.7, intensity 121, (1 0 3); 2θ 49.4, intensity 120, (1 1 7); 2θ 59.8, intensity 115, (1 0 11); 2θ 53.1, intensity 103, (1 1 8); 2θ 33.3, intensity 95, (0 0 7); 2θ 38.2, intensity 91, (0 0 8)